Record 1
# Ca3Mn2Ga2O10
Theoretical X-ray powder pattern, a wavelength of 1.5418 Å. Input: a structure optimized by DFT (GGA+U).
Peak positions follow from Bragg's law for the DFT cell and can differ from measured ones.

Largest 10 diffraction maxima, in order of falling intensity, 2θ from 5° to 70°:
2θ 33.1, 2.705 Å, I = 100
2θ 22.7, 3.923 Å, I = 95
2θ 31.4, 2.849 Å, I = 64
2θ 33.8, 2.649 Å, I = 59
2θ 34.6, 2.593 Å, I = 55
2θ 25.5, 3.489 Å, I = 53
2θ 34.2, 2.623 Å, I = 50
2θ 25.1, 3.547 Å, I = 47
2θ 35.0, 2.563 Å, I = 44
2θ 17.0, 5.217 Å, I = 41

Atomic structure:
abc: 5.4097 5.7019 7.8918
angles: 109.38 109.20 90.11
Sites, in units of the cell vectors:
Ca 0.0000 0.0000 0.0000
Ca 0.2239 0.1396 0.4545
Ca 0.5107 0.4411 0.0397
Mn 0.0990 0.5763 0.2417
Mn 0.6053 0.0641 0.2435
Ga 0.4075 0.7378 0.7259
Ga 0.8953 0.4136 0.7222
O 0.2008 0.7730 0.5014
O 0.2527 0.4458 0.7363
O 0.3139 0.7967 0.1863
O 0.3478 0.3214 0.2553
O 0.4312 0.0028 0.9495
O 0.7048 0.1372 0.5092
O 0.7465 0.7018 0.7279
O 0.8273 0.8050 0.1845
O 0.8710 0.3013 0.2584
O 0.9279 0.3739 0.9558

Record 2
# Sr4CaMn2Ga2O10
Theoretical X-ray powder pattern, a wavelength of 1.5418 Å. Input: a structure optimized by DFT (GGA+U).
Peak positions follow from Bragg's law for the DFT cell and can differ from measured ones.

Largest 10 diffraction maxima, in order of falling intensity, 2θ from 5° to 70°:
2θ 30.9, 2.896 Å, I = 100
2θ 30.5, 2.934 Å, I = 62
2θ 29.6, 3.015 Å, I = 57
2θ 38.3, 2.349 Å, I = 43
2θ 39.3, 2.291 Å, I = 34
2θ 30.2, 2.957 Å, I = 33
2θ 21.9, 4.052 Å, I = 30
2θ 15.9, 5.577 Å, I = 28
2θ 45.3, 2.004 Å, I = 28
2θ 33.4, 2.682 Å, I = 27

Atomic structure:
abc: 9.2876 9.2876 5.8867
angles: 106.93 106.93 128.87
Sites, in units of the cell vectors:
Sr 0.0192 0.4143 0.4667
Sr 0.1988 0.1988 0.3914
Sr 0.5857 0.9808 0.5333
Sr 0.8012 0.8012 0.6086
Ca 0.5889 0.4111 0.0000
Mn 0.1720 0.3800 0.0077
Mn 0.6200 0.8280 0.9923
Ga 0.0626 0.7253 0.1811
Ga 0.2747 0.9374 0.8189
O 0.0556 0.5258 0.9826
O 0.2868 0.1406 0.0206
O 0.3626 0.0422 0.5731
O 0.4008 0.5992 0.5000
O 0.4576 0.5424 0.0000
O 0.4742 0.9444 0.0174
O 0.8594 0.7132 0.9794
O 0.8960 0.1040 0.0000
O 0.9031 0.0969 0.5000
O 0.9578 0.6374 0.4269